For VSe, a structure optimized by DFT (PBE) gives the simulated powder diffractogram in this record (CuKα).
Neutral-atom scattering factors, no anomalous dispersion.

Top 12 peaks for 2θ = 10–80°, low angle first:
| d (Å) | Rel. int. |
| --- | --- |
| 6.572 | 49 |
| 3.177 | 100 |
| 2.390 | 23 |
| 2.191 | 6 |
| 2.023 | 71 |
| 1.876 | 20 |
| 1.815 | 25 |
| 1.643 | 8 |
| 1.576 | 24 |
| 1.304 | 12 |
| 1.283 | 8 |
| 1.218 | 12 |

Structural model:
Unit cell a=3.6290 b=3.6290 c=6.5722 alpha=90.00 beta=90.00 gamma=90.00
Fractional coordinates of all 4 atoms:
V 0.2500 0.7500 0.0000
V 0.7500 0.2500 0.0000
Se 0.2500 0.2500 0.2624
Se 0.7500 0.7500 0.7376

***

For V5Se4, a structure optimized by DFT (PBE) gives the simulated powder diffractogram in this record (CuKα).
Neutral-atom scattering factors, no anomalous dispersion.

Top 12 peaks for 2θ = 10–80°, low angle first:
| d (Å) | Rel. int. |
| --- | --- |
| 6.596 | 20 |
| 3.298 | 37 |
| 2.601 | 90 |
| 2.272 | 100 |
| 2.199 | 19 |
| 2.086 | 65 |
| 2.042 | 27 |
| 1.871 | 70 |
| 1.664 | 25 |
| 1.627 | 23 |
| 1.600 | 20 |
| 1.301 | 26 |

Structural model:
Unit cell a=6.8026 b=6.8026 c=6.8026 alpha=93.43 beta=93.43 gamma=151.69
Fractional coordinates of all 9 atoms:
V 0.0000 0.0000 0.0000
V 0.3067 0.3802 0.6870
V 0.3802 0.6933 0.0735
V 0.6198 0.3067 0.9265
V 0.6933 0.6198 0.3130
Se 0.0620 0.2771 0.3391
Se 0.2771 0.9380 0.2151
Se 0.7229 0.0620 0.7849
Se 0.9380 0.7229 0.6609

***

For VSe, a structure optimized by DFT (PBE) gives the simulated powder diffractogram in this record (CuKα).
Neutral-atom scattering factors, no anomalous dispersion.

Top 12 peaks for 2θ = 10–80°, low angle first:
| d (Å) | Rel. int. |
| --- | --- |
| 3.265 | 2 |
| 2.892 | 3 |
| 2.843 | 100 |
| 2.165 | 76 |
| 1.885 | 51 |
| 1.660 | 20 |
| 1.579 | 4 |
| 1.571 | 16 |
| 1.446 | 7 |
| 1.422 | 18 |
| 1.246 | 8 |
| 1.207 | 14 |

Structural model:
Unit cell a=3.7702 b=3.7702 c=5.7844 alpha=90.00 beta=90.00 gamma=120.00
Fractional coordinates of all 4 atoms:
V 0.0000 0.0000 0.0000
V 0.0000 0.0000 0.5000
Se 0.3333 0.6667 0.2500
Se 0.6667 0.3333 0.7500

***

For WSe2, a structure optimized by DFT (PBE) gives the simulated powder diffractogram in this record (CuKα).
Neutral-atom scattering factors, no anomalous dispersion.

Top 12 peaks for 2θ = 10–80°, low angle first:
| d (Å) | Rel. int. |
| --- | --- |
| 8.356 | 100 |
| 6.267 | 19 |
| 2.881 | 15 |
| 2.862 | 10 |
| 2.724 | 12 |
| 2.618 | 12 |
| 2.498 | 36 |
| 2.372 | 15 |
| 2.121 | 34 |
| 2.003 | 17 |
| 1.664 | 12 |
| 1.632 | 9 |

Structural model:
Unit cell a=3.3271 b=3.3271 c=25.0690 alpha=90.00 beta=90.00 gamma=120.00
Fractional coordinates of all 6 atoms:
W 0.3333 0.6667 0.3497
W 0.6667 0.3333 0.6503
Se 0.3333 0.6667 0.5832
Se 0.3333 0.6667 0.7173
Se 0.6667 0.3333 0.2827
Se 0.6667 0.3333 0.4168

***

For WSe2, a structure optimized by DFT (PBE) gives the simulated powder diffractogram in this record (CuKα).
Neutral-atom scattering factors, no anomalous dispersion.

Top 12 peaks for 2θ = 10–80°, low angle first:
| d (Å) | Rel. int. |
| --- | --- |
| 7.534 | 100 |
| 2.881 | 21 |
| 2.691 | 13 |
| 2.499 | 50 |
| 2.083 | 47 |
| 1.884 | 7 |
| 1.664 | 16 |
| 1.624 | 11 |
| 1.577 | 6 |
| 1.385 | 8 |
| 1.300 | 10 |
| 1.247 | 10 |

Structural model:
Unit cell a=3.3271 b=3.3271 c=15.0690 alpha=90.00 beta=90.00 gamma=120.00
Fractional coordinates of all 6 atoms:
W 0.3333 0.6667 0.2500
W 0.6667 0.3333 0.7500
Se 0.3333 0.6667 0.6384
Se 0.3333 0.6667 0.8616
Se 0.6667 0.3333 0.1384
Se 0.6667 0.3333 0.3616

***

For WSe2, a structure optimized by DFT (PBE) gives the simulated powder diffractogram in this record (CuKα).
Neutral-atom scattering factors, no anomalous dispersion.

Top 12 peaks for 2θ = 10–80°, low angle first:
| d (Å) | Rel. int. |
| --- | --- |
| 8.148 | 100 |
| 6.518 | 21 |
| 2.880 | 18 |
| 2.716 | 12 |
| 2.545 | 26 |
| 2.450 | 32 |
| 2.158 | 16 |
| 2.065 | 36 |
| 1.663 | 19 |
| 1.629 | 10 |
| 1.295 | 8 |
| 1.256 | 7 |

Structural model:
Unit cell a=3.3261 b=3.3261 c=32.5904 alpha=90.00 beta=90.00 gamma=120.00
Fractional coordinates of all 9 atoms:
W 0.0000 0.0000 0.0000
W 0.6667 0.3333 0.2311
W 0.6667 0.3333 0.7689
Se 0.0000 0.0000 0.1795
Se 0.0000 0.0000 0.2827
Se 0.0000 0.0000 0.7173
Se 0.0000 0.0000 0.8205
Se 0.6667 0.3333 0.0516
Se 0.6667 0.3333 0.9484

***

For WSe2, a structure optimized by DFT (PBE) gives the simulated powder diffractogram in this record (CuKα).
Neutral-atom scattering factors, no anomalous dispersion.

Top 12 peaks for 2θ = 10–80°, low angle first:
| d (Å) | Rel. int. |
| --- | --- |
| 8.764 | 100 |
| 5.842 | 15 |
| 2.880 | 12 |
| 2.842 | 20 |
| 2.736 | 18 |
| 2.583 | 24 |
| 2.407 | 33 |
| 2.225 | 33 |
| 2.051 | 24 |
| 1.890 | 12 |
| 1.663 | 9 |
| 1.655 | 15 |

Structural model:
Unit cell a=3.3256 b=3.3256 c=17.5271 alpha=90.00 beta=90.00 gamma=120.00
Fractional coordinates of all 3 atoms:
W 0.0000 0.0000 0.0000
Se 0.3333 0.6667 0.0959
Se 0.3333 0.6667 0.9041